1.
# LaNd2AlBr3
Simulated powder diffraction line list, Cu Kα X-rays. Input: a DFT-relaxed cell (GGA-PBE, OQMD).

Main lines, low angle first (2θ from 10° to 90°):
- d = 4.295 Å, 20.68 deg, rel. 51, hkl 1 1 0
- d = 3.507 Å, 25.40 deg, rel. 12, hkl 1 1 1
- d = 3.045 Å, 29.33 deg, rel. 45, hkl 0 0 2
- d = 3.033 Å, 29.45 deg, rel. 89, hkl 2 0 0
- d = 2.480 Å, 36.23 deg, rel. 24, hkl 1 1 2
- d = 2.147 Å, 42.08 deg, rel. 100, hkl 2 2 0
- d = 1.753 Å, 52.17 deg, rel. 35, hkl 2 2 2
- d = 1.361 Å, 69.03 deg, rel. 15, hkl 2 0 4
- d = 1.357 Å, 69.24 deg, rel. 30, hkl 4 2 0
- d = 1.239 Å, 76.95 deg, rel. 22, hkl 4 2 2

Atomic structure:
abc: 6.066 6.066 6.089
angles: 90.00 90.00 90.00
Space group P4/mmm (No. 123)
Unique sites:
La (0.000, 0.000, 0.000) x1
Nd (0.000, 0.500, 0.500) x2
Al (0.000, 0.000, 0.500) x1
Br (0.000, 0.500, 0.000) x2
Br (0.500, 0.500, 0.500) x1

---

2.
# La2PrAlBr3
Simulated powder diffraction line list, Cu Kα X-rays. Input: a DFT-relaxed cell (GGA-PBE, OQMD).

Main lines, low angle first (2θ from 10° to 90°):
- d = 4.336 Å, 20.48 deg, rel. 50, hkl 1 0 1
- d = 3.070 Å, 29.08 deg, rel. 89, hkl 2 0 0
- d = 3.058 Å, 29.20 deg, rel. 44, hkl 0 0 2
- d = 2.504 Å, 35.87 deg, rel. 24, hkl 2 1 1
- d = 2.168 Å, 41.65 deg, rel. 100, hkl 2 2 0
- d = 1.770 Å, 51.63 deg, rel. 35, hkl 2 2 2
- d = 1.373 Å, 68.34 deg, rel. 30, hkl 4 2 0
- d = 1.369 Å, 68.56 deg, rel. 15, hkl 2 0 4
- d = 1.253 Å, 75.97 deg, rel. 22, hkl 4 2 2
- d = 1.250 Å, 76.14 deg, rel. 11, hkl 2 2 4

Atomic structure:
abc: 6.141 6.141 6.117
angles: 90.00 90.00 90.00
Space group P4/mmm (No. 123)
Unique sites:
La (0.000, 0.500, 0.000) x2
Pr (0.000, 0.000, 0.500) x1
Al (0.000, 0.000, 0.000) x1
Br (0.000, 0.500, 0.500) x2
Br (0.500, 0.500, 0.000) x1

---

3.
# NbAlBr8
Simulated powder diffraction line list, Cu Kα X-rays. Input: a DFT-relaxed cell (GGA-PBE, OQMD).

Main lines, low angle first (2θ from 10° to 90°):
- d = 7.875 Å, 11.24 deg, rel. 18, hkl 1 1 0
- d = 5.892 Å, 15.04 deg, rel. 43, hkl 1 1 1
- d = 3.196 Å, 27.91 deg, rel. 56, hkl 0 4 2
- d = 3.164 Å, 28.20 deg, rel. 100, hkl 2 4 0
- d = 3.110 Å, 28.71 deg, rel. 50, hkl 2 0 2
- d = 2.819 Å, 31.75 deg, rel. 21, hkl 0 2 3
- d = 2.221 Å, 40.63 deg, rel. 20, hkl 0 0 4
- d = 2.178 Å, 41.46 deg, rel. 16, hkl 4 0 0
- d = 1.914 Å, 47.50 deg, rel. 27, hkl 2 6 3
- d = 1.818 Å, 50.19 deg, rel. 33, hkl 2 4 4

Atomic structure:
abc: 8.711 18.414 8.882
angles: 90.00 90.00 90.00
Space group Cmcm (No. 63)
Unique sites:
Nb (0.000, 0.109, 0.250) x4
Al (0.000, 0.314, 0.250) x4
Br (0.000, 0.131, 0.526) x8
Br (0.000, 0.382, 0.035) x8
Br (0.208, 0.230, 0.250) x8
Br (0.216, 0.027, 0.250) x8

---

4.
# AlNiBr6
Simulated powder diffraction line list, Cu Kα X-rays. Input: a DFT-relaxed cell (GGA-PBE, OQMD).

Main lines, low angle first (2θ from 10° to 90°):
- d = 5.689 Å, 15.58 deg, rel. 11, hkl 1 1 1
- d = 4.927 Å, 18.00 deg, rel. 17, hkl 2 0 0
- d = 2.845 Å, 31.45 deg, rel. 100, hkl 2 2 2
- d = 2.464 Å, 36.47 deg, rel. 60, hkl 4 0 0
- d = 2.204 Å, 40.96 deg, rel. 8, hkl 4 2 0
- d = 1.742 Å, 52.53 deg, rel. 41, hkl 4 4 0
- d = 1.486 Å, 62.52 deg, rel. 40, hkl 6 2 2
- d = 1.422 Å, 65.64 deg, rel. 14, hkl 4 4 4
- d = 1.130 Å, 86.00 deg, rel. 17, hkl 6 6 2
- d = 1.102 Å, 88.81 deg, rel. 19, hkl 8 4 0

Atomic structure:
abc: 9.854 9.854 9.854
angles: 90.00 90.00 90.00
Space group F-43m (No. 216)
Unique sites:
Al (0.000, 0.000, 0.000) x4
Ni (0.250, 0.250, 0.250) x4
Br (0.000, 0.000, 0.249) x24

---

Number 2 is which compound?
La2PrAlBr3